CuAgS: theoretical powder diffraction line list (copper Kα), based on DFT lattice parameters and positions (GGA-PBE).
Intensities are scaled so that the largest is 1000.

Structural model:
```
data_CuAgS
_chemical_formula_sum 'Cu4 Ag4 S4'
_cell_length_a 8.2905
_cell_length_b 4.0194
_cell_length_c 6.6203
_cell_angle_alpha 90.00
_cell_angle_beta 90.00
_cell_angle_gamma 90.00
_symmetry_space_group_name_H-M 'P n m a'
_symmetry_Int_Tables_number 62
_symmetry_space_group_name_Hall '-P 2ac 2n'
loop_
_atom_site_label
_atom_site_type_symbol
_atom_site_fract_x
_atom_site_fract_y
_atom_site_fract_z
Cu1 Cu 0.2387 0.2500 0.2028
Ag1 Ag 0.0143 0.2500 0.8227
S1 S 0.2293 0.2500 0.5548
```

Top 8 peaks for 2θ = 15–90°, in order of falling intensity:
(hkl)	2θ (°)	I (rel.)
2 1 1	33.9	1000
1 0 1	17.1	245
1 1 2	36.8	231
0 2 0	45.1	209
4 0 0	43.7	202
0 0 2	26.9	192
3 1 2	48.5	184
1 0 3	42.4	148

=====

In5Si2N6: theoretical powder diffraction line list (copper Kα), based on DFT lattice parameters and positions (GGA-PBE).
Intensities are scaled so that the largest is 1000.

Structural model:
```
data_In5Si2N6
_chemical_formula_sum 'In20 Si8 N24'
_cell_length_a 9.3242
_cell_length_b 7.3459
_cell_length_c 11.8274
_cell_angle_alpha 90.00
_cell_angle_beta 97.42
_cell_angle_gamma 90.00
_symmetry_space_group_name_H-M 'C 1 2/c 1'
_symmetry_Int_Tables_number 15
_symmetry_space_group_name_Hall '-C 2yc'
loop_
_atom_site_label
_atom_site_type_symbol
_atom_site_fract_x
_atom_site_fract_y
_atom_site_fract_z
In1 In 0.0000 0.0438 0.2500
In2 In 0.0845 0.2484 0.0064
In3 In 0.1531 0.4442 0.7050
Si1 Si 0.2228 0.3606 0.4174
N1 N 0.0760 0.4939 0.8766
N2 N 0.1701 0.1358 0.6956
N3 N 0.2037 0.1176 0.4352
```

Top 8 peaks for 2θ = 15–90°, in order of falling intensity:
(hkl)	2θ (°)	I (rel.)
0 2 2	28.7	1000
3 1 1	33.3	568
3 1 -3	36.8	383
3 1 0	31.5	335
3 3 -1	47.4	241
0 0 4	30.5	237
1 1 -4	33.2	152
2 0 4	38.4	145

=====

CoGeTe: theoretical powder diffraction line list (copper Kα), based on DFT lattice parameters and positions (GGA-PBE).
Intensities are scaled so that the largest is 1000.

Structural model:
```
data_CoGeTe
_chemical_formula_sum 'Co8 Ge8 Te8'
_cell_length_a 6.2034
_cell_length_b 6.2519
_cell_length_c 11.1884
_cell_angle_alpha 90.00
_cell_angle_beta 90.00
_cell_angle_gamma 90.00
_symmetry_space_group_name_H-M 'P b c a'
_symmetry_Int_Tables_number 61
_symmetry_space_group_name_Hall '-P 2ac 2ab'
loop_
_atom_site_label
_atom_site_type_symbol
_atom_site_fract_x
_atom_site_fract_y
_atom_site_fract_z
Co1 Co 0.0017 0.1083 0.1111
Ge1 Ge 0.1668 0.2258 0.9318
Te1 Te 0.1183 0.0112 0.6759
```

Top 8 peaks for 2θ = 15–90°, in order of falling intensity:
(hkl)	2θ (°)	I (rel.)
2 1 1	33.2	1000
1 2 2	36.0	814
1 0 4	35.2	697
0 2 2	32.8	561
1 1 5	45.5	418
1 1 3	31.4	403
0 0 4	32.0	238
1 3 2	48.9	234

=====

Mg4B8H31: theoretical powder diffraction line list (copper Kα), based on DFT lattice parameters and positions (GGA-PBE).
Intensities are scaled so that the largest is 1000.

Structural model:
```
data_Mg4B8H31
_chemical_formula_sum 'Mg4 B8 H31'
_cell_length_a 8.2527
_cell_length_b 8.2829
_cell_length_c 10.1522
_cell_angle_alpha 90.01
_cell_angle_beta 90.39
_cell_angle_gamma 90.00
_symmetry_space_group_name_H-M 'P 1'
_symmetry_Int_Tables_number 1
_symmetry_space_group_name_Hall 'P 1'
loop_
_atom_site_label
_atom_site_type_symbol
_atom_site_fract_x
_atom_site_fract_y
_atom_site_fract_z
Mg1 Mg 0.0000 0.0000 0.0000
Mg2 Mg 0.9996 0.4965 0.7500
Mg3 Mg 0.4977 0.5122 0.4952
Mg4 Mg 0.5024 0.0159 0.2481
B1 B 0.2329 0.0100 0.1487
B2 B 0.2730 0.5007 0.6525
B3 B 0.5009 0.2887 0.3401
B4 B 0.5025 0.7510 0.3539
B5 B 0.7312 0.5010 0.6457
B6 B 0.7706 0.0115 0.1497
B7 B 0.9993 0.2242 0.8447
B8 B 0.9991 0.7617 0.8574
H1 H 0.0010 0.6336 0.9183
H2 H 0.0019 0.3486 0.9105
H3 H 0.1241 0.1502 0.8698
H4 H 0.1244 0.8331 0.8855
H5 H 0.1600 0.1327 0.1167
H6 H 0.1609 0.8834 0.1269
H7 H 0.2513 0.0174 0.2687
H8 H 0.2696 0.4956 0.7727
H9 H 0.2940 0.6305 0.6010
H10 H 0.2975 0.3763 0.5937
H11 H 0.3582 0.0065 0.0846
H12 H 0.3752 0.3605 0.3653
H13 H 0.3764 0.6816 0.3817
H14 H 0.4997 0.2671 0.2205
H15 H 0.5019 0.7651 0.2334
H16 H 0.5030 0.1654 0.4072
H17 H 0.5043 0.8783 0.4158
H18 H 0.6251 0.3636 0.3652
H19 H 0.6268 0.6784 0.3826
H20 H 0.6446 0.0098 0.0852
H21 H 0.6593 0.3785 0.6116
H22 H 0.6612 0.6281 0.6216
H23 H 0.7460 0.4937 0.7659
H24 H 0.7538 0.0181 0.2697
H25 H 0.8413 0.8845 0.1275
H26 H 0.8443 0.1339 0.1186
H27 H 0.8597 0.5036 0.5842
H28 H 0.8741 0.1525 0.8718
H29 H 0.8740 0.8316 0.8871
H30 H 0.9973 0.2441 0.7248
H31 H 0.9972 0.7486 0.7367
```

Top 8 peaks for 2θ = 15–90°, in order of falling intensity:
(hkl)	2θ (°)	I (rel.)
2 0 0	21.5	1000
-1 1 2	23.2	758
1 1 2	23.3	698
3 0 -1	33.7	540
-1 2 3	35.9	453
3 1 -2	38.7	449
2 0 -2	27.8	402
2 -1 3	36.0	323